Structure and theoretical PXRD pattern of TlSb3F18 (DFT lattice parameters and positions (GGA-PBE); Cu Ka).
Kinematic intensities with the Lorentz-polarization factor, no thermal factor.

Structure:
Lattice parameters (Å, degrees): 9.730 9.730 8.876 90.00 90.00 120.00
Fractional coordinates of all 44 atoms:
1 Tl 0.333 0.667 0.072
2 Tl 0.667 0.333 0.928
3 Sb 0.018 0.654 0.743
4 Sb 0.346 0.365 0.743
5 Sb 0.365 0.018 0.257
6 Sb 0.635 0.982 0.743
7 Sb 0.654 0.635 0.257
8 Sb 0.982 0.346 0.257
9 F 0.107 0.321 0.402
10 F 0.119 0.356 0.095
11 F 0.129 0.291 0.768
12 F 0.135 0.581 0.243
13 F 0.136 0.609 0.603
14 F 0.139 0.611 0.903
15 F 0.163 0.871 0.768
16 F 0.214 0.893 0.402
17 F 0.237 0.881 0.095
18 F 0.291 0.163 0.232
19 F 0.321 0.214 0.598
20 F 0.356 0.237 0.905
21 F 0.389 0.528 0.903
22 F 0.391 0.527 0.603
23 F 0.419 0.553 0.243
24 F 0.447 0.865 0.243
25 F 0.472 0.861 0.903
26 F 0.473 0.864 0.603
27 F 0.527 0.136 0.397
28 F 0.528 0.139 0.097
29 F 0.553 0.135 0.757
30 F 0.581 0.447 0.757
31 F 0.609 0.473 0.397
32 F 0.611 0.472 0.097
33 F 0.644 0.763 0.095
34 F 0.679 0.786 0.402
35 F 0.709 0.837 0.768
36 F 0.763 0.119 0.905
37 F 0.786 0.107 0.598
38 F 0.837 0.129 0.232
39 F 0.861 0.389 0.097
40 F 0.864 0.391 0.397
41 F 0.865 0.419 0.757
42 F 0.871 0.709 0.232
43 F 0.881 0.644 0.905
44 F 0.893 0.679 0.598

Top 12 peaks for 15 to 90 degrees two-theta, low angle first:
2θ/deg  intensity
20.01  10
20.82  100
22.64  11
23.37  10
27.20  31
29.23  10
29.80  11
31.86  21
38.37  14
41.67  17
49.71  11
50.70  12

***

Structure and theoretical PXRD pattern of SbXeF11 (DFT lattice parameters and positions (GGA-PBE); Cu Ka).
Kinematic intensities with the Lorentz-polarization factor, no thermal factor.

Structure:
Lattice parameters (Å, degrees): 17.239 8.487 5.989 90.00 90.00 90.00
Fractional coordinates of all 52 atoms:
1 Sb 0.044 0.250 0.216
2 Sb 0.456 0.750 0.716
3 Sb 0.544 0.250 0.284
4 Sb 0.956 0.750 0.784
5 Xe 0.149 0.750 0.296
6 Xe 0.351 0.250 0.796
7 Xe 0.649 0.750 0.204
8 Xe 0.851 0.250 0.704
9 F 0.012 0.750 0.500
10 F 0.042 0.024 0.224
11 F 0.042 0.476 0.224
12 F 0.058 0.750 0.928
13 F 0.091 0.250 0.929
14 F 0.142 0.250 0.363
15 F 0.152 0.588 0.532
16 F 0.152 0.912 0.532
17 F 0.186 0.589 0.083
18 F 0.186 0.911 0.083
19 F 0.239 0.250 0.866
20 F 0.261 0.750 0.366
21 F 0.314 0.089 0.583
22 F 0.314 0.411 0.583
23 F 0.348 0.088 0.032
24 F 0.348 0.412 0.032
25 F 0.358 0.750 0.863
26 F 0.409 0.750 0.429
27 F 0.442 0.250 0.428
28 F 0.458 0.524 0.724
29 F 0.458 0.976 0.724
30 F 0.488 0.250 0.000
31 F 0.512 0.750 0.000
32 F 0.542 0.024 0.276
33 F 0.542 0.476 0.276
34 F 0.558 0.750 0.572
35 F 0.591 0.250 0.571
36 F 0.642 0.250 0.137
37 F 0.652 0.588 0.968
38 F 0.652 0.912 0.968
39 F 0.686 0.589 0.417
40 F 0.686 0.911 0.417
41 F 0.739 0.250 0.634
42 F 0.761 0.750 0.134
43 F 0.814 0.089 0.917
44 F 0.814 0.411 0.917
45 F 0.848 0.088 0.468
46 F 0.848 0.412 0.468
47 F 0.858 0.750 0.637
48 F 0.909 0.750 0.071
49 F 0.942 0.250 0.072
50 F 0.958 0.524 0.776
51 F 0.958 0.976 0.776
52 F 0.988 0.250 0.500

Top 12 peaks for 15 to 90 degrees two-theta, low angle first:
2θ/deg  intensity
18.04  65
20.90  100
23.15  33
27.58  19
27.77  26
32.91  9
36.69  15
38.09  12
44.69  10
45.00  14
46.64  12
53.15  11

***

Structure and theoretical PXRD pattern of Sb5Xe2F40 (DFT lattice parameters and positions (GGA-PBE); Cu Ka).
Kinematic intensities with the Lorentz-polarization factor, no thermal factor.

Structure:
Lattice parameters (Å, degrees): 7.875 8.657 13.398 84.84 76.79 67.62
Fractional coordinates of all 47 atoms:
1 Sb 0.000 0.000 0.000
2 Sb 0.102 0.511 0.749
3 Sb 0.440 0.769 0.642
4 Sb 0.560 0.231 0.358
5 Sb 0.898 0.489 0.251
6 Xe 0.225 0.816 0.316
7 Xe 0.775 0.184 0.684
8 F 0.023 0.606 0.626
9 F 0.037 0.631 0.229
10 F 0.051 0.724 0.416
11 F 0.075 0.971 0.131
12 F 0.097 0.305 0.177
13 F 0.098 0.021 0.403
14 F 0.176 0.107 0.948
15 F 0.192 0.788 0.956
16 F 0.195 0.437 0.871
17 F 0.236 0.977 0.677
18 F 0.257 0.664 0.730
19 F 0.324 0.350 0.672
20 F 0.338 0.749 0.529
21 F 0.371 0.950 0.238
22 F 0.380 0.642 0.206
23 F 0.386 0.456 0.383
24 F 0.393 0.135 0.436
25 F 0.411 0.407 0.030
26 F 0.425 0.246 0.007
27 F 0.484 0.231 0.233
28 F 0.516 0.769 0.767
29 F 0.575 0.754 0.993
30 F 0.589 0.593 0.970
31 F 0.607 0.865 0.564
32 F 0.614 0.544 0.617
33 F 0.620 0.358 0.794
34 F 0.629 0.050 0.762
35 F 0.662 0.251 0.471
36 F 0.676 0.650 0.328
37 F 0.743 0.336 0.270
38 F 0.764 0.023 0.323
39 F 0.805 0.563 0.129
40 F 0.808 0.212 0.044
41 F 0.824 0.893 0.052
42 F 0.902 0.979 0.597
43 F 0.903 0.695 0.823
44 F 0.925 0.029 0.869
45 F 0.949 0.276 0.584
46 F 0.963 0.369 0.771
47 F 0.977 0.394 0.374

Top 12 peaks for 15 to 90 degrees two-theta, low angle first:
2θ/deg  intensity
17.53  49
20.43  60
21.04  79
21.54  93
22.02  68
22.30  100
23.27  44
24.16  41
25.74  62
31.37  28
38.23  39
42.43  26

***

Structure and theoretical PXRD pattern of Sb4Xe2F19 (DFT lattice parameters and positions (GGA-PBE); Cu Ka).
Kinematic intensities with the Lorentz-polarization factor, no thermal factor.

Structure:
Lattice parameters (Å, degrees): 10.952 8.930 15.921 90.00 129.85 90.00
Fractional coordinates of all 50 atoms:
1 Sb 0.188 0.082 0.155
2 Sb 0.188 0.418 0.655
3 Sb 0.234 0.097 0.497
4 Sb 0.234 0.403 0.997
5 Sb 0.766 0.597 0.003
6 Sb 0.766 0.903 0.503
7 Sb 0.812 0.582 0.345
8 Sb 0.812 0.918 0.845
9 Xe 0.311 0.579 0.351
10 Xe 0.311 0.921 0.851
11 Xe 0.689 0.079 0.149
12 Xe 0.689 0.421 0.649
13 F 0.000 0.000 0.000
14 F 0.000 0.500 0.500
15 F 0.019 0.024 0.403
16 F 0.019 0.476 0.903
17 F 0.027 0.158 0.155
18 F 0.027 0.342 0.655
19 F 0.152 0.227 0.570
20 F 0.152 0.273 0.070
21 F 0.189 0.607 0.708
22 F 0.189 0.893 0.208
23 F 0.223 0.234 0.921
24 F 0.223 0.266 0.421
25 F 0.306 0.553 0.953
26 F 0.306 0.947 0.453
27 F 0.315 0.021 0.120
28 F 0.315 0.479 0.620
29 F 0.356 0.171 0.289
30 F 0.356 0.329 0.789
31 F 0.436 0.114 0.642
32 F 0.436 0.386 0.142
33 F 0.564 0.614 0.858
34 F 0.564 0.886 0.358
35 F 0.644 0.671 0.211
36 F 0.644 0.829 0.711
37 F 0.685 0.521 0.380
38 F 0.685 0.979 0.880
39 F 0.694 0.053 0.547
40 F 0.694 0.447 0.047
41 F 0.777 0.734 0.579
42 F 0.777 0.766 0.079
43 F 0.811 0.107 0.792
44 F 0.811 0.393 0.292
45 F 0.848 0.727 0.930
46 F 0.848 0.773 0.430
47 F 0.973 0.658 0.345
48 F 0.973 0.842 0.845
49 F 0.981 0.524 0.097
50 F 0.981 0.976 0.597

Top 12 peaks for 15 to 90 degrees two-theta, low angle first:
2θ/deg  intensity
17.59  25
19.89  20
20.03  18
20.74  100
21.15  74
21.50  16
24.01  73
26.52  15
27.06  16
32.73  18
33.49  19
34.69  14

***

Structure and theoretical PXRD pattern of SbXe2F9 (DFT lattice parameters and positions (GGA-PBE); Cu Ka).
Kinematic intensities with the Lorentz-polarization factor, no thermal factor.

Structure:
Lattice parameters (Å, degrees): 8.621 8.621 10.342 124.56 124.56 58.03
Fractional coordinates of all 24 atoms:
1 Sb 0.128 0.872 0.500
2 Sb 0.872 0.128 0.000
3 Xe 0.203 0.400 0.947
4 Xe 0.400 0.203 0.447
5 Xe 0.583 0.765 0.029
6 Xe 0.765 0.583 0.529
7 F 0.029 0.825 0.266
8 F 0.129 0.932 0.040
9 F 0.230 0.918 0.735
10 F 0.264 0.403 0.611
11 F 0.305 0.994 0.560
12 F 0.331 0.620 0.465
13 F 0.403 0.264 0.111
14 F 0.560 0.628 0.314
15 F 0.570 0.990 0.281
16 F 0.620 0.331 0.965
17 F 0.628 0.560 0.814
18 F 0.748 0.954 0.940
19 F 0.825 0.029 0.766
20 F 0.918 0.230 0.235
21 F 0.932 0.129 0.540
22 F 0.954 0.748 0.440
23 F 0.990 0.570 0.781
24 F 0.994 0.305 0.060

Top 12 peaks for 15 to 90 degrees two-theta, low angle first:
2θ/deg  intensity
20.96  76
21.96  100
22.59  59
24.10  98
25.61  61
28.03  19
36.56  34
36.90  14
37.08  23
40.59  18
41.69  19
42.12  20

***

Structure and theoretical PXRD pattern of Sb2XeF16 (DFT lattice parameters and positions (GGA-PBE); Cu Ka).
Kinematic intensities with the Lorentz-polarization factor, no thermal factor.

Structure:
Lattice parameters (Å, degrees): 8.869 8.901 9.596 68.82 75.60 76.70
Fractional coordinates of all 38 atoms:
1 Sb 0.100 0.209 0.247
2 Sb 0.267 0.580 0.258
3 Sb 0.733 0.420 0.742
4 Sb 0.900 0.791 0.753
5 Xe 0.262 0.126 0.704
6 Xe 0.738 0.874 0.296
7 F 0.006 0.690 0.919
8 F 0.017 0.010 0.310
9 F 0.051 0.685 0.274
10 F 0.063 0.697 0.626
11 F 0.127 0.045 0.902
12 F 0.194 0.422 0.182
13 F 0.206 0.431 0.458
14 F 0.221 0.127 0.409
15 F 0.265 0.320 0.753
16 F 0.280 0.140 0.117
17 F 0.308 0.708 0.051
18 F 0.309 0.903 0.692
19 F 0.331 0.722 0.331
20 F 0.425 0.035 0.830
21 F 0.449 0.174 0.545
22 F 0.468 0.450 0.240
23 F 0.532 0.550 0.760
24 F 0.551 0.826 0.455
25 F 0.575 0.965 0.170
26 F 0.669 0.278 0.669
27 F 0.691 0.097 0.308
28 F 0.692 0.292 0.949
29 F 0.720 0.860 0.883
30 F 0.735 0.680 0.247
31 F 0.779 0.873 0.591
32 F 0.794 0.569 0.542
33 F 0.806 0.578 0.818
34 F 0.873 0.955 0.098
35 F 0.937 0.303 0.374
36 F 0.949 0.315 0.726
37 F 0.983 0.990 0.690
38 F 0.994 0.310 0.081

Top 12 peaks for 15 to 90 degrees two-theta, low angle first:
2θ/deg  intensity
16.15  21
18.20  100
19.89  64
20.19  99
20.96  82
22.57  71
23.64  59
25.56  21
27.22  40
30.97  18
35.93  16
42.23  19

***

Structure and theoretical PXRD pattern of Sb2XeF15 (DFT lattice parameters and positions (GGA-PBE); Cu Ka).
Kinematic intensities with the Lorentz-polarization factor, no thermal factor.

Structure:
Lattice parameters (Å, degrees): 8.278 8.278 10.645 106.54 106.54 64.85
Fractional coordinates of all 36 atoms:
1 Sb 0.130 0.255 0.382
2 Sb 0.255 0.130 0.882
3 Sb 0.745 0.870 0.118
4 Sb 0.870 0.745 0.618
5 Xe 0.398 0.602 0.250
6 Xe 0.602 0.398 0.750
7 F 0.000 0.500 0.500
8 F 0.009 0.839 0.566
9 F 0.032 0.252 0.774
10 F 0.063 0.656 0.758
11 F 0.161 0.991 0.934
12 F 0.206 0.311 0.039
13 F 0.227 0.715 0.093
14 F 0.252 0.032 0.274
15 F 0.260 0.378 0.348
16 F 0.285 0.773 0.407
17 F 0.311 0.206 0.539
18 F 0.344 0.937 0.742
19 F 0.378 0.260 0.848
20 F 0.410 0.539 0.616
21 F 0.461 0.590 0.884
22 F 0.500 0.000 0.000
23 F 0.539 0.410 0.116
24 F 0.590 0.461 0.384
25 F 0.622 0.740 0.152
26 F 0.656 0.063 0.258
27 F 0.689 0.794 0.461
28 F 0.715 0.227 0.593
29 F 0.740 0.622 0.652
30 F 0.748 0.968 0.726
31 F 0.773 0.285 0.907
32 F 0.794 0.689 0.961
33 F 0.839 0.009 0.066
34 F 0.937 0.344 0.242
35 F 0.968 0.748 0.226
36 F 0.991 0.161 0.434

Top 12 peaks for 15 to 90 degrees two-theta, low angle first:
2θ/deg  intensity
16.23  37
18.28  86
19.46  24
20.01  34
21.64  33
21.90  61
22.62  100
23.29  100
24.18  50
32.63  26
38.89  27
42.90  42